# 1
Structure and simulated powder diffraction line list of Mg2TaCuO6 (a DFT-relaxed cell (GGA-PBE, the Materials Project); Cu Ka).
Peak positions follow from Bragg's law for the DFT cell and can differ from measured ones.

Cell and atoms:
Unit cell a=5.1616 b=7.5165 c=5.4379 alpha=90.00 beta=93.49 gamma=90.00
Positions (direct):
Mg (0.0062, 0.2500, 0.4282)
Mg (0.4731, 0.2500, 0.9489)
Mg (0.5269, 0.7500, 0.0511)
Mg (0.9938, 0.7500, 0.5718)
Ta (0.5000, 0.0000, 0.5000)
Ta (0.5000, 0.5000, 0.5000)
Cu (0.0000, 0.0000, 0.0000)
Cu (0.0000, 0.5000, 0.0000)
O (0.1326, 0.7500, 0.9358)
O (0.1940, 0.0707, 0.6747)
O (0.1940, 0.4293, 0.6747)
O (0.3182, 0.0654, 0.1817)
O (0.3182, 0.4346, 0.1817)
O (0.3639, 0.7500, 0.4488)
O (0.6361, 0.2500, 0.5512)
O (0.6818, 0.5654, 0.8183)
O (0.6818, 0.9346, 0.8183)
O (0.8060, 0.5707, 0.3253)
O (0.8060, 0.9293, 0.3253)
O (0.8674, 0.2500, 0.0642)

Main lines, in order of falling intensity (5 to 70 degrees two-theta):
| 2θ/deg | d/Å | I_rel | (hkl) |
| --- | --- | --- | --- |
| 33.29 | 2.691 | 100.0 | 1 2 -1 |
| 34.36 | 2.610 | 88.0 | 1 2 1 |
| 23.07 | 3.856 | 74.9 | 1 0 -1 |
| 23.67 | 3.758 | 69.4 | 0 2 0 |
| 24.54 | 3.628 | 67.3 | 1 0 1 |
| 33.01 | 2.714 | 50.4 | 0 0 2 |
| 16.33 | 5.428 | 45.3 | 0 0 1 |
| 17.21 | 5.152 | 41.3 | 1 0 0 |
| 34.83 | 2.576 | 37.0 | 2 0 0 |
| 60.79 | 1.524 | 27.8 | 3 2 -1 |
| 48.44 | 1.879 | 24.4 | 0 4 0 |
| 47.14 | 1.928 | 24.3 | 2 0 -2 |

=====

# 2
Structure and simulated powder diffraction line list of MgTa4Cu2O12 (a DFT-relaxed cell (GGA-PBE, the Materials Project); Cu Ka).
Peak positions follow from Bragg's law for the DFT cell and can differ from measured ones.

Cell and atoms:
Unit cell a=4.9313 b=8.9205 c=5.0871 alpha=90.00 beta=90.10 gamma=90.00
Positions (direct):
Mg (0.0000, 0.0000, 0.0000)
Ta (0.0000, 0.1828, 0.5000)
Ta (0.0000, 0.8133, 0.5000)
Ta (0.5000, 0.3268, 0.0000)
Ta (0.5000, 0.6685, 0.0000)
Cu (0.0000, 0.4987, 0.5000)
Cu (0.5000, 0.9933, 0.0000)
O (0.1892, 0.9982, 0.6630)
O (0.2441, 0.3132, 0.6937)
O (0.2438, 0.6823, 0.6932)
O (0.2478, 0.8222, 0.1807)
O (0.2492, 0.1729, 0.1812)
O (0.3044, 0.4977, 0.1626)
O (0.6956, 0.4977, 0.8374)
O (0.7508, 0.1729, 0.8188)
O (0.7522, 0.8222, 0.8193)
O (0.7559, 0.3132, 0.3063)
O (0.7562, 0.6823, 0.3068)
O (0.8108, 0.9982, 0.3370)

Main lines, in order of falling intensity (5 to 70 degrees two-theta):
| 2θ/deg | d/Å | I_rel | (hkl) |
| --- | --- | --- | --- |
| 25.15 | 3.541 | 100.0 | 1 0 -1 |
| 35.26 | 2.545 | 52.9 | 1 3 0 |
| 34.95 | 2.567 | 36.2 | 0 3 1 |
| 51.38 | 1.778 | 34.5 | 2 3 1 |
| 50.73 | 1.800 | 28.2 | 1 3 -2 |
| 51.63 | 1.770 | 19.2 | 2 0 -2 |
| 32.28 | 2.773 | 14.6 | 1 2 -1 |
| 36.44 | 2.466 | 13.2 | 2 0 0 |
| 20.58 | 4.316 | 11.5 | 1 1 0 |
| 63.12 | 1.473 | 10.9 | 0 3 3 |
| 19.91 | 4.460 | 10.4 | 0 2 0 |
| 68.44 | 1.371 | 9.7 | 1 6 1 |

=====

# 3
Structure and simulated powder diffraction line list of MgTa2Cu2O8 (a DFT-relaxed cell (GGA-PBE, the Materials Project); Cu Ka).
Peak positions follow from Bragg's law for the DFT cell and can differ from measured ones.

Cell and atoms:
Unit cell a=6.6517 b=8.6095 c=12.2838 alpha=90.00 beta=92.04 gamma=90.00
Positions (direct):
Mg (0.1112, 0.1604, 0.0508)
Mg (0.1112, 0.3396, 0.5508)
Mg (0.8888, 0.6604, 0.4492)
Mg (0.8888, 0.8396, 0.9492)
Ta (0.0970, 0.0441, 0.3440)
Ta (0.0970, 0.4559, 0.8440)
Ta (0.3856, 0.5872, 0.3640)
Ta (0.3856, 0.9128, 0.8640)
Ta (0.6144, 0.0872, 0.1360)
Ta (0.6144, 0.4128, 0.6360)
Ta (0.9030, 0.5441, 0.1560)
Ta (0.9030, 0.9559, 0.6560)
Cu (0.2334, 0.6841, 0.6227)
Cu (0.2334, 0.8159, 0.1227)
Cu (0.3737, 0.0605, 0.6228)
Cu (0.3737, 0.4395, 0.1228)
Cu (0.6263, 0.5605, 0.8772)
Cu (0.6263, 0.9395, 0.3772)
Cu (0.7666, 0.1841, 0.8773)
Cu (0.7666, 0.3159, 0.3773)
O (0.0395, 0.2437, 0.4002)
O (0.0395, 0.2563, 0.9002)
O (0.0866, 0.1115, 0.6121)
O (0.0866, 0.3885, 0.1121)
O (0.1158, 0.0445, 0.1947)
O (0.1158, 0.4555, 0.6947)
O (0.1864, 0.5757, 0.4720)
O (0.1864, 0.9243, 0.9720)
O (0.2968, 0.6264, 0.2156)
O (0.2968, 0.8736, 0.7156)
O (0.3476, 0.5167, 0.8979)
O (0.3476, 0.9833, 0.3979)
O (0.4116, 0.2198, 0.0855)
O (0.4116, 0.2802, 0.5855)
O (0.4999, 0.1041, 0.8613)
O (0.4999, 0.3959, 0.3613)
O (0.5001, 0.6041, 0.6387)
O (0.5001, 0.8959, 0.1387)
O (0.5884, 0.7198, 0.4145)
O (0.5884, 0.7802, 0.9145)
O (0.6524, 0.0167, 0.6021)
O (0.6524, 0.4833, 0.1021)
O (0.7032, 0.1264, 0.2844)
O (0.7032, 0.3736, 0.7844)
O (0.8136, 0.0757, 0.0280)
O (0.8136, 0.4243, 0.5280)
O (0.8842, 0.5445, 0.3053)
O (0.8842, 0.9555, 0.8053)
O (0.9134, 0.6115, 0.8879)
O (0.9134, 0.8885, 0.3879)
O (0.9605, 0.7437, 0.0998)
O (0.9605, 0.7563, 0.5998)

Main lines, in order of falling intensity (5 to 70 degrees two-theta):
| 2θ/deg | d/Å | I_rel | (hkl) |
| --- | --- | --- | --- |
| 29.10 | 3.069 | 100.0 | 0 0 4 |
| 29.96 | 2.983 | 93.8 | 2 1 1 |
| 21.91 | 4.057 | 72.1 | 1 1 -2 |
| 29.48 | 3.030 | 61.8 | 2 1 -1 |
| 28.00 | 3.187 | 61.0 | 1 1 3 |
| 20.63 | 4.305 | 60.1 | 0 2 0 |
| 28.42 | 3.140 | 42.9 | 1 2 -2 |
| 18.16 | 4.886 | 34.8 | 1 1 -1 |
| 46.41 | 1.956 | 33.6 | 2 1 -5 |
| 27.23 | 3.275 | 33.5 | 1 1 -3 |
| 25.56 | 3.485 | 31.3 | 1 2 -1 |
| 18.53 | 4.788 | 30.5 | 1 1 1 |

=====

# 4
Structure and simulated powder diffraction line list of MgCu2TeO12 (a DFT-relaxed cell (GGA-PBE, the Materials Project); Cu Ka).
Peak positions follow from Bragg's law for the DFT cell and can differ from measured ones.

Cell and atoms:
Unit cell a=5.2885 b=5.2885 c=8.5871 alpha=90.00 beta=90.00 gamma=120.00
Positions (direct):
Mg (0.0000, 0.0000, 0.0000)
Cu (0.3333, 0.6667, 0.5000)
Cu (0.6667, 0.3333, 0.5000)
Te (0.0000, 0.0000, 0.5000)
O (0.0000, 0.3176, 0.3808)
O (0.0000, 0.4244, 0.0588)
O (0.0000, 0.5756, 0.9412)
O (0.0000, 0.6824, 0.6192)
O (0.3176, 0.0000, 0.3808)
O (0.3176, 0.3176, 0.6192)
O (0.4244, 0.0000, 0.0588)
O (0.4244, 0.4244, 0.9412)
O (0.5756, 0.0000, 0.9412)
O (0.5756, 0.5756, 0.0588)
O (0.6824, 0.0000, 0.6192)
O (0.6824, 0.6824, 0.3808)

Main lines, in order of falling intensity (5 to 70 degrees two-theta):
| 2θ/deg | d/Å | I_rel | (hkl) |
| --- | --- | --- | --- |
| 10.30 | 8.587 | 100.0 | 0 0 1 |
| 20.69 | 4.294 | 67.4 | 0 0 2 |
| 35.52 | 2.527 | 44.5 | 1 1 1 |
| 40.05 | 2.252 | 34.3 | 1 1 2 |
| 46.77 | 1.942 | 30.7 | 1 1 3 |
| 55.10 | 1.667 | 20.7 | 2 -1 4 |
| 64.78 | 1.439 | 18.6 | 3 0 2 |
| 33.90 | 2.644 | 15.8 | 1 1 0 |
| 60.66 | 1.527 | 10.5 | 3 0 0 |
| 61.71 | 1.503 | 10.2 | 3 0 1 |
| 22.00 | 4.041 | 8.5 | 1 0 1 |
| 44.86 | 2.021 | 6.1 | 2 0 2 |

=====

# 5
Structure and simulated powder diffraction line list of MgCu2Te2O8 (a DFT-relaxed cell (GGA-PBE, the Materials Project); Cu Ka).
Peak positions follow from Bragg's law for the DFT cell and can differ from measured ones.

Cell and atoms:
Unit cell a=5.5366 b=6.2737 c=6.4689 alpha=118.24 beta=110.00 gamma=93.67
Positions (direct):
Mg (0.0000, 0.0000, 0.0000)
Cu (0.0000, 0.5000, 0.0000)
Cu (0.5000, 0.5000, 0.0000)
Te (0.0000, 0.0000, 0.5000)
Te (0.0000, 0.5000, 0.5000)
O (0.1912, 0.2387, 0.9143)
O (0.1947, 0.2388, 0.4098)
O (0.2050, 0.6640, 0.8850)
O (0.2360, 0.7361, 0.4923)
O (0.7640, 0.2639, 0.5077)
O (0.7950, 0.3360, 0.1150)
O (0.8053, 0.7612, 0.5902)
O (0.8088, 0.7613, 0.0857)

Main lines, in order of falling intensity (5 to 70 degrees two-theta):
| 2θ/deg | d/Å | I_rel | (hkl) |
| --- | --- | --- | --- |
| 17.72 | 5.006 | 100.0 | 1 0 0 |
| 34.76 | 2.581 | 53.7 | 0 0 2 |
| 18.75 | 4.732 | 49.7 | 1 0 -1 |
| 42.30 | 2.136 | 31.3 | 2 -2 0 |
| 45.18 | 2.007 | 25.5 | 2 2 -2 |
| 33.25 | 2.695 | 20.1 | 0 2 -2 |
| 16.67 | 5.317 | 19.3 | 0 1 0 |
| 33.71 | 2.659 | 17.9 | 0 2 0 |
| 35.11 | 2.556 | 17.3 | 1 2 -2 |
| 33.58 | 2.669 | 16.8 | 1 -2 0 |
| 35.88 | 2.503 | 15.6 | 2 0 0 |
| 57.02 | 1.615 | 15.2 | 2 2 0 |

=====

# 6
Structure and simulated powder diffraction line list of MgCu2Te2O8 (a DFT-relaxed cell (GGA-PBE, the Materials Project); Cu Ka).
Peak positions follow from Bragg's law for the DFT cell and can differ from measured ones.

Cell and atoms:
Unit cell a=6.2884 b=8.7495 c=13.3975 alpha=90.00 beta=91.03 gamma=90.00
Positions (direct):
Mg (0.1191, 0.1559, 0.0469)
Mg (0.1191, 0.3441, 0.5469)
Mg (0.8809, 0.6559, 0.4531)
Mg (0.8809, 0.8441, 0.9531)
Cu (0.2537, 0.6828, 0.6094)
Cu (0.2537, 0.8172, 0.1094)
Cu (0.3939, 0.0743, 0.6222)
Cu (0.3939, 0.4257, 0.1222)
Cu (0.6061, 0.5743, 0.8778)
Cu (0.6061, 0.9257, 0.3778)
Cu (0.7462, 0.1828, 0.8906)
Cu (0.7462, 0.3172, 0.3906)
Te (0.0468, 0.0546, 0.3414)
Te (0.0468, 0.4454, 0.8414)
Te (0.3529, 0.5976, 0.3633)
Te (0.3529, 0.9024, 0.8633)
Te (0.6471, 0.0976, 0.1367)
Te (0.6471, 0.4024, 0.6367)
Te (0.9532, 0.5546, 0.1586)
Te (0.9532, 0.9454, 0.6586)
O (0.0428, 0.2492, 0.4071)
O (0.0428, 0.2508, 0.9071)
O (0.0720, 0.0552, 0.2030)
O (0.0720, 0.4448, 0.7030)
O (0.0923, 0.1279, 0.6158)
O (0.0923, 0.3721, 0.1158)
O (0.1943, 0.5579, 0.4858)
O (0.1943, 0.9421, 0.9858)
O (0.2773, 0.6152, 0.1648)
O (0.2773, 0.8848, 0.6648)
O (0.3106, 0.5141, 0.8929)
O (0.3106, 0.9859, 0.3929)
O (0.4256, 0.2141, 0.0730)
O (0.4256, 0.2859, 0.5730)
O (0.4813, 0.0938, 0.8436)
O (0.4813, 0.4062, 0.3436)
O (0.5187, 0.5938, 0.6564)
O (0.5187, 0.9062, 0.1564)
O (0.5744, 0.7141, 0.4270)
O (0.5744, 0.7859, 0.9270)
O (0.6894, 0.0141, 0.6071)
O (0.6894, 0.4859, 0.1071)
O (0.7227, 0.1152, 0.3352)
O (0.7227, 0.3848, 0.8352)
O (0.8057, 0.0579, 0.0142)
O (0.8057, 0.4421, 0.5142)
O (0.9077, 0.6279, 0.8842)
O (0.9077, 0.8721, 0.3842)
O (0.9280, 0.5552, 0.2970)
O (0.9280, 0.9448, 0.7970)
O (0.9572, 0.7492, 0.0929)
O (0.9572, 0.7508, 0.5929)

Main lines, in order of falling intensity (5 to 70 degrees two-theta):
| 2θ/deg | d/Å | I_rel | (hkl) |
| --- | --- | --- | --- |
| 26.65 | 3.345 | 100.0 | 0 0 4 |
| 31.07 | 2.879 | 46.6 | 2 1 1 |
| 25.62 | 3.477 | 35.2 | 1 2 -1 |
| 18.51 | 4.794 | 22.8 | 1 1 -1 |
| 20.30 | 4.375 | 19.6 | 0 2 0 |
| 21.73 | 4.089 | 18.2 | 1 1 -2 |
| 28.07 | 3.178 | 17.0 | 1 2 -2 |
| 32.16 | 2.783 | 16.9 | 1 2 3 |
| 36.14 | 2.486 | 14.7 | 2 1 -3 |
| 21.37 | 4.159 | 14.7 | 0 2 1 |
| 17.37 | 5.106 | 13.3 | 1 1 0 |
| 26.32 | 3.386 | 12.8 | 1 1 -3 |